Simulated powder X-ray diffraction pattern
Compound: CsSnH3
Radiation: Cu Ka
Structure: a structure optimized by DFT (GGA-PBE)

Crystal structure
a = 6.6753 Å, b = 6.6753 Å, c = 6.6753 Å
α = 61.91°, β = 61.91°, γ = 61.91°
Element x y z (fractional)
Cs 0.0000 0.0000 0.0000
Cs 0.5000 0.5000 0.5000
Sn 0.2578 0.2578 0.2578
Sn 0.7578 0.7578 0.7578
H 0.0463 0.4417 0.0869
H 0.0869 0.0463 0.4417
H 0.4417 0.0869 0.0463
H 0.5463 0.5869 0.9417
H 0.5869 0.9417 0.5463
H 0.9417 0.5463 0.5869

Peak list (6 most intense, 15° ≤ 2θ ≤ 90°, by angle)
d = 3.434 Å, 25.9°, I 100
d = 3.335 Å, 26.7°, I 92
d = 2.392 Å, 37.6°, I 38
d = 1.982 Å, 45.8°, I 22
d = 1.963 Å, 46.3°, I 41
d = 1.526 Å, 60.7°, I 19